Calculated X-ray diffraction stick pattern of Sm2SeCl4 for CuKα, from DFT lattice parameters and positions (GGA-PBE).
Neutral-atom scattering factors, no anomalous dispersion.

The 12 most intense peaks (2θ = 5–70°), by angle:
- 2θ 11.46, I 23
- 2θ 14.75, I 22
- 2θ 19.87, I 100
- 2θ 23.04, I 22
- 2θ 24.21, I 69
- 2θ 31.78, I 22
- 2θ 33.02, I 18
- 2θ 36.02, I 72
- 2θ 36.65, I 22
- 2θ 38.30, I 28
- 2θ 40.36, I 40
- 2θ 40.54, I 25

Atomic structure:
```
data_Sm2SeCl4
_symmetry_space_group_name_H-M 'C 1 2/c 1'
_symmetry_Int_Tables_number 15
_symmetry_space_group_name_Hall '-C 2yc'
_cell_length_a 15.574
_cell_length_b 6.521
_cell_length_c 7.138
_cell_angle_alpha 90.00
_cell_angle_beta 97.57
_cell_angle_gamma 90.00
loop_
_atom_site_label
_atom_site_type_symbol
_atom_site_fract_x
_atom_site_fract_y
_atom_site_fract_z
_atom_site_occupancy
Sm1 Sm 0.112 0.214 0.083 1
Se1 Se 0.000 0.071 0.750 1
Cl1 Cl 0.089 0.402 0.421 1
Cl2 Cl 0.221 0.079 0.824 1
```

***

Calculated X-ray diffraction stick pattern of TbYSe2Cl2 for CuKα, from DFT lattice parameters and positions (GGA-PBE).
Neutral-atom scattering factors, no anomalous dispersion.

The 12 most intense peaks (2θ = 5–70°), by angle:
- 2θ 10.79, I 100
- 2θ 19.04, I 27
- 2θ 24.41, I 32
- 2θ 30.96, I 67
- 2θ 31.57, I 33
- 2θ 33.45, I 14
- 2θ 40.30, I 17
- 2θ 42.94, I 12
- 2θ 44.50, I 13
- 2θ 44.80, I 46
- 2θ 55.33, I 10
- 2θ 55.57, I 13

Atomic structure:
```
data_TbYSe2Cl2
_symmetry_space_group_name_H-M 'P m m 2'
_symmetry_Int_Tables_number 25
_symmetry_space_group_name_Hall 'P 2 -2'
_cell_length_a 4.072
_cell_length_b 5.669
_cell_length_c 8.196
_cell_angle_alpha 90.00
_cell_angle_beta 90.00
_cell_angle_gamma 90.00
loop_
_atom_site_label
_atom_site_type_symbol
_atom_site_fract_x
_atom_site_fract_y
_atom_site_fract_z
_atom_site_occupancy
Tb1 Tb 0.000 0.000 0.000 1
Y1 Y 0.500 0.500 0.288 1
Se1 Se 0.000 0.500 0.039 1
Se2 Se 0.500 0.000 0.251 1
Cl1 Cl 0.000 0.500 0.500 1
Cl2 Cl 0.500 0.000 0.787 1
```

***

Calculated X-ray diffraction stick pattern of ZrSe2Cl12 for CuKα, from DFT lattice parameters and positions (GGA-PBE).
Neutral-atom scattering factors, no anomalous dispersion.

The 12 most intense peaks (2θ = 5–70°), by angle:
- 2θ 10.91, I 21
- 2θ 15.82, I 28
- 2θ 15.94, I 37
- 2θ 16.19, I 25
- 2θ 17.01, I 100
- 2θ 22.36, I 32
- 2θ 26.11, I 42
- 2θ 31.57, I 43
- 2θ 31.96, I 86
- 2θ 41.36, I 36
- 2θ 41.67, I 54
- 2θ 49.17, I 28

Atomic structure:
```
data_ZrSe2Cl12
_symmetry_space_group_name_H-M 'F d d 2'
_symmetry_Int_Tables_number 43
_symmetry_space_group_name_Hall 'F 2 -2d'
_cell_length_a 11.857
_cell_length_b 12.904
_cell_length_c 21.901
_cell_angle_alpha 90.00
_cell_angle_beta 90.00
_cell_angle_gamma 90.00
loop_
_atom_site_label
_atom_site_type_symbol
_atom_site_fract_x
_atom_site_fract_y
_atom_site_fract_z
_atom_site_occupancy
Zr1 Zr 0.000 0.000 0.000 1
Se1 Se 0.008 0.222 0.581 1
Cl1 Cl 0.112 0.168 0.505 1
Cl2 Cl 0.115 0.160 0.655 1
Cl3 Cl 0.117 0.416 0.581 1
Cl4 Cl 0.118 0.160 0.001 1
Cl5 Cl 0.118 0.403 0.078 1
Cl6 Cl 0.123 0.173 0.172 1
```

***

Calculated X-ray diffraction stick pattern of SmCl for CuKα, from DFT lattice parameters and positions (GGA-PBE).
Neutral-atom scattering factors, no anomalous dispersion.

The 11 most intense peaks (2θ = 5–70°), by angle:
- 2θ 20.29, I 30
- 2θ 29.07, I 54
- 2θ 35.71, I 100
- 2θ 41.24, I 13
- 2θ 51.25, I 23
- 2θ 51.54, I 20
- 2θ 55.95, I 13
- 2θ 60.27, I 7
- 2θ 63.78, I 1
- 2θ 64.28, I 18
- 2θ 68.05, I 17

Atomic structure:
```
data_SmCl
_symmetry_space_group_name_H-M 'P -6 m 2'
_symmetry_Int_Tables_number 187
_symmetry_space_group_name_Hall 'P -6 2'
_cell_length_a 3.5464
_cell_length_b 3.5464
_cell_length_c 4.3777
_cell_angle_alpha 90.00
_cell_angle_beta 90.00
_cell_angle_gamma 120.00
loop_
_atom_site_label
_atom_site_type_symbol
_atom_site_fract_x
_atom_site_fract_y
_atom_site_fract_z
_atom_site_occupancy
Sm1 Sm 0.0000 0.0000 0.0000 1
Cl1 Cl 0.3333 0.6667 0.5000 1
```

***

Calculated X-ray diffraction stick pattern of Sn2W3Cl14 for CuKα, from DFT lattice parameters and positions (GGA-PBE).
Neutral-atom scattering factors, no anomalous dispersion.

The 12 most intense peaks (2θ = 5–70°), by angle:
- 2θ 10.61, I 42
- 2θ 12.89, I 75
- 2θ 14.64, I 100
- 2θ 18.11, I 45
- 2θ 18.42, I 29
- 2θ 23.61, I 18
- 2θ 29.27, I 34
- 2θ 35.53, I 27
- 2θ 36.16, I 36
- 2θ 38.93, I 22
- 2θ 39.36, I 26
- 2θ 41.80, I 26

Atomic structure:
```
data_Sn2W3Cl14
_symmetry_space_group_name_H-M 'P 63'
_symmetry_Int_Tables_number 173
_symmetry_space_group_name_Hall 'P 6c'
_cell_length_a 9.6323
_cell_length_b 9.6323
_cell_length_c 12.0994
_cell_angle_alpha 90.00
_cell_angle_beta 90.00
_cell_angle_gamma 120.00
loop_
_atom_site_label
_atom_site_type_symbol
_atom_site_fract_x
_atom_site_fract_y
_atom_site_fract_z
_atom_site_occupancy
Sn1 Sn 0.0000 0.0000 0.0000 1
Sn2 Sn 0.3333 0.6667 0.4582 1
W1 W 0.1457 0.5546 0.9195 1
Cl1 Cl 0.0000 0.0000 0.2008 1
Cl2 Cl 0.0181 0.3677 0.5213 1
Cl3 Cl 0.0248 0.3200 0.0342 1
Cl4 Cl 0.1011 0.6009 0.3066 1
Cl5 Cl 0.1984 0.7572 0.7829 1
Cl6 Cl 0.3333 0.6667 0.0703 1
```

***

Calculated X-ray diffraction stick pattern of TaCl4 for CuKα, from DFT lattice parameters and positions (GGA-PBE).
Neutral-atom scattering factors, no anomalous dispersion.

The 12 most intense peaks (2θ = 5–70°), by angle:
- 2θ 14.71, I 100
- 2θ 19.81, I 27
- 2θ 21.87, I 20
- 2θ 26.56, I 12
- 2θ 30.49, I 21
- 2θ 33.35, I 40
- 2θ 34.59, I 23
- 2θ 40.24, I 24
- 2θ 41.98, I 21
- 2θ 44.13, I 15
- 2θ 53.17, I 16
- 2θ 56.81, I 14

Atomic structure:
```
data_TaCl4
_symmetry_space_group_name_H-M 'C m m m'
_symmetry_Int_Tables_number 65
_symmetry_space_group_name_Hall '-C 2 2'
_cell_length_a 8.128
_cell_length_b 8.965
_cell_length_c 3.356
_cell_angle_alpha 90.00
_cell_angle_beta 90.00
_cell_angle_gamma 90.00
loop_
_atom_site_label
_atom_site_type_symbol
_atom_site_fract_x
_atom_site_fract_y
_atom_site_fract_z
_atom_site_occupancy
Ta1 Ta 0.000 0.000 0.000 1
Cl1 Cl 0.000 0.203 0.500 1
Cl2 Cl 0.216 0.500 0.000 1
```

***

Calculated X-ray diffraction stick pattern of TbCl3 for CuKα, from DFT lattice parameters and positions (GGA-PBE).
Neutral-atom scattering factors, no anomalous dispersion.

The 12 most intense peaks (2θ = 5–70°), by angle:
- 2θ 18.34, I 100
- 2θ 24.92, I 47
- 2θ 27.15, I 16
- 2θ 30.89, I 20
- 2θ 32.96, I 22
- 2θ 37.18, I 17
- 2θ 40.27, I 47
- 2θ 42.46, I 11
- 2θ 43.21, I 22
- 2θ 46.64, I 18
- 2θ 47.97, I 22
- 2θ 64.37, I 11

Atomic structure:
```
data_TbCl3
_symmetry_space_group_name_H-M 'R -3 c'
_symmetry_Int_Tables_number 167
_symmetry_space_group_name_Hall '-R 3 2"c'
_cell_length_a 6.5698
_cell_length_b 6.5698
_cell_length_c 18.3674
_cell_angle_alpha 90.00
_cell_angle_beta 90.00
_cell_angle_gamma 120.00
loop_
_atom_site_label
_atom_site_type_symbol
_atom_site_fract_x
_atom_site_fract_y
_atom_site_fract_z
_atom_site_occupancy
Tb1 Tb 0.0000 0.0000 0.0000 1
Cl1 Cl 0.0000 0.3363 0.2500 1
```

***

Calculated X-ray diffraction stick pattern of TcCl3 for CuKα, from DFT lattice parameters and positions (GGA-PBE).
Neutral-atom scattering factors, no anomalous dispersion.

The 12 most intense peaks (2θ = 5–70°), by angle:
- 2θ 10.88, I 7
- 2θ 13.05, I 8
- 2θ 13.24, I 100
- 2θ 17.31, I 7
- 2θ 20.12, I 9
- 2θ 30.22, I 10
- 2θ 32.41, I 10
- 2θ 36.79, I 24
- 2θ 39.88, I 11
- 2θ 40.93, I 13
- 2θ 48.93, I 9
- 2θ 51.70, I 12

Atomic structure:
```
data_TcCl3
_symmetry_space_group_name_H-M 'R -3 m'
_symmetry_Int_Tables_number 166
_symmetry_space_group_name_Hall '-R 3 2"'
_cell_length_a 10.2436
_cell_length_b 10.2436
_cell_length_c 20.3467
_cell_angle_alpha 90.00
_cell_angle_beta 90.00
_cell_angle_gamma 120.00
loop_
_atom_site_label
_atom_site_type_symbol
_atom_site_fract_x
_atom_site_fract_y
_atom_site_fract_z
_atom_site_occupancy
Tc1 Tc 0.0791 0.1581 0.2743 1
Cl1 Cl 0.0211 0.5105 0.3901 1
Cl2 Cl 0.1033 0.2067 0.1658 1
Cl3 Cl 0.1054 0.2109 0.3890 1
```

***

Calculated X-ray diffraction stick pattern of TeWCl9 for CuKα, from DFT lattice parameters and positions (GGA-PBE).
Neutral-atom scattering factors, no anomalous dispersion.

The 12 most intense peaks (2θ = 5–70°), by angle:
- 2θ 11.08, I 34
- 2θ 16.66, I 70
- 2θ 16.99, I 35
- 2θ 17.21, I 100
- 2θ 18.58, I 47
- 2θ 19.54, I 26
- 2θ 20.00, I 47
- 2θ 22.78, I 34
- 2θ 32.10, I 28
- 2θ 32.46, I 23
- 2θ 41.63, I 26
- 2θ 42.21, I 35

Atomic structure:
```
data_TeWCl9
_symmetry_space_group_name_H-M 'P -1'
_symmetry_Int_Tables_number 2
_symmetry_space_group_name_Hall '-P 1'
_cell_length_a 6.434
_cell_length_b 9.291
_cell_length_c 11.196
_cell_angle_alpha 73.20
_cell_angle_beta 74.15
_cell_angle_gamma 88.58
loop_
_atom_site_label
_atom_site_type_symbol
_atom_site_fract_x
_atom_site_fract_y
_atom_site_fract_z
_atom_site_occupancy
Te1 Te 0.129 0.167 0.164 1
W1 W 0.433 0.240 0.707 1
Cl1 Cl 0.086 0.109 0.830 1
Cl2 Cl 0.096 0.865 0.627 1
Cl3 Cl 0.115 0.695 0.940 1
Cl4 Cl 0.230 0.648 0.395 1
Cl5 Cl 0.281 0.461 0.721 1
Cl6 Cl 0.314 0.383 0.164 1
Cl7 Cl 0.349 0.256 0.519 1
Cl8 Cl 0.432 0.004 0.299 1
Cl9 Cl 0.494 0.804 0.088 1
```

***

Calculated X-ray diffraction stick pattern of ZrTe6Cl6 for CuKα, from DFT lattice parameters and positions (GGA-PBE).
Neutral-atom scattering factors, no anomalous dispersion.

The 12 most intense peaks (2θ = 5–70°), by angle:
- 2θ 11.19, I 100
- 2θ 15.91, I 42
- 2θ 17.52, I 51
- 2θ 20.80, I 54
- 2θ 26.28, I 96
- 2θ 27.05, I 87
- 2θ 28.72, I 66
- 2θ 31.56, I 42
- 2θ 32.51, I 38
- 2θ 35.40, I 60
- 2θ 35.88, I 46
- 2θ 38.59, I 42

Atomic structure:
```
data_ZrTe6Cl6
_symmetry_space_group_name_H-M 'P b c m'
_symmetry_Int_Tables_number 57
_symmetry_space_group_name_Hall '-P 2c 2b'
_cell_length_a 11.231
_cell_length_b 11.144
_cell_length_c 13.170
_cell_angle_alpha 90.00
_cell_angle_beta 90.00
_cell_angle_gamma 90.00
loop_
_atom_site_label
_atom_site_type_symbol
_atom_site_fract_x
_atom_site_fract_y
_atom_site_fract_z
_atom_site_occupancy
Zr1 Zr 0.238 0.206 0.250 1
Te1 Te 0.113 0.632 0.530 1
Te2 Te 0.226 0.739 0.750 1
Te3 Te 0.315 0.598 0.098 1
Te4 Te 0.476 0.750 0.000 1
Cl1 Cl 0.076 0.056 0.250 1
Cl2 Cl 0.138 0.169 0.618 1
Cl3 Cl 0.344 0.085 0.116 1
Cl4 Cl 0.406 0.154 0.750 1
```